Diffraction record for RbPu2O6. The powder X-ray diffraction pattern is theoretical, not measured: it uses a crystal structure in Alexandria, relaxed with GGA-PBE and Cu Kα, 1.54184 Å.

Largest 10 diffraction maxima, low angle first, 10 to 90 degrees two-theta:
13.84 deg, rel. 67; 26.67 deg, rel. 100; 27.88 deg, rel. 72; 32.31 deg, rel. 16; 42.37 deg, rel. 36; 46.34 deg, rel. 45; 48.59 deg, rel. 15; 54.27 deg, rel. 16; 54.95 deg, rel. 35; 64.58 deg, rel. 26

Structural model:
```
data_RbPu2O6
_cell_length_a 7.838
_cell_length_b 7.838
_cell_length_c 7.838
_cell_angle_alpha 60.00
_cell_angle_beta 60.00
_cell_angle_gamma 60.00
_space_group_name_H-M_alt 'P 1'
_space_group_IT_number 1
loop_
_space_group_symop_operation_xyz
'x,y,z'
loop_
_atom_site_label
_atom_site_fract_x
_atom_site_fract_y
_atom_site_fract_z
Rb1 0.125 0.125 0.125
Rb2 0.875 0.875 0.875
Pu1 0.000 0.500 0.500
Pu2 0.500 0.000 0.500
Pu3 0.500 0.500 0.000
Pu4 0.500 0.500 0.500
O1 0.183 0.183 0.567
O2 0.183 0.567 0.183
O3 0.183 0.567 0.567
O4 0.433 0.433 0.817
O5 0.433 0.817 0.433
O6 0.433 0.817 0.817
O7 0.567 0.183 0.183
O8 0.567 0.183 0.567
O9 0.567 0.567 0.183
O10 0.817 0.433 0.433
O11 0.817 0.433 0.817
O12 0.817 0.817 0.433
```